Theoretical X-ray diffraction stick pattern of NdMg6Cd2 for a wavelength of 1.5418 Å, from a cell relaxed with GGA-PBE.

Crystal structure
```
9
Lattice="4.4505 0.0000 0.0000 0.0000 4.4505 0.0000 0.0000 0.0000 11.0458" Properties=species:S:1:pos:R:3 pbc="T T T"
Nd 0.0000 0.0000 0.0000
Mg 0.0000 0.0000 5.5229
Mg 0.0000 2.2253 3.2151
Mg 0.0000 2.2253 7.8307
Mg 2.2253 0.0000 3.2151
Mg 2.2253 0.0000 7.8307
Mg 2.2253 2.2253 5.5229
Cd 2.2253 2.2253 1.3837
Cd 2.2253 2.2253 9.6621
```

Main lines, by intensity (2θ = 10–90°):
- 2θ 31.54, I = 100
- 2θ 29.51, I = 99
- 2θ 38.36, I = 87
- 2θ 32.75, I = 78
- 2θ 40.54, I = 74
- 2θ 28.36, I = 72
- 2θ 57.04, I = 53
- 2θ 52.25, I = 47
- 2θ 25.71, I = 37
- 2θ 45.86, I = 34

Theoretical X-ray diffraction stick pattern of Tb2PrNd for a wavelength of 1.5418 Å, from a cell relaxed with GGA-PBE.

Crystal structure
```
8
Lattice="3.6951 -6.3375 0.0000 3.6951 6.3375 0.0000 -0.0212 0.0000 5.8446" Properties=species:S:1:pos:R:3 pbc="T T T"
Tb 1.8454 1.0599 1.4630
Tb 1.8348 -1.0599 4.3853
Tb 5.5342 1.0599 1.4593
Tb 5.5236 -1.0599 4.3816
Pr 3.6898 4.2455 1.4611
Pr 3.6792 -4.2455 4.3834
Nd 3.6792 2.0882 4.3834
Nd 3.6898 -2.0882 1.4611
```

Main lines, by intensity (2θ = 10–90°):
- 2θ 31.95, I = 100
- 2θ 32.13, I = 47
- 2θ 30.59, I = 37
- 2θ 27.95, I = 22
- 2θ 55.34, I = 21
- 2θ 49.71, I = 19
- 2θ 42.02, I = 16
- 2θ 28.16, I = 12
- 2θ 59.46, I = 11
- 2θ 59.56, I = 11

Theoretical X-ray diffraction stick pattern of La4Pm3Dy4 for a wavelength of 1.5418 Å, from a cell relaxed with GGA-PBE.

Crystal structure
```
11
Lattice="-1.8113 4.7753 11.2530 1.8113 -4.7753 11.2530 1.8113 4.7753 -11.2530" Properties=species:S:1:pos:R:3 pbc="T T T"
La 1.8113 -3.1545 7.9622
La 0.0000 1.6208 3.2908
La 1.8113 3.1545 7.9622
La 0.0000 7.9298 3.2908
Pm 1.8113 0.0000 0.0000
Pm 0.0000 0.0000 8.8731
Pm 0.0000 0.0000 13.6328
Dy 1.8113 0.0000 5.9345
Dy 0.0000 3.0258 0.0000
Dy 0.0000 6.5247 0.0000
Dy 0.0000 4.7753 5.3185
```

Main lines, by intensity (2θ = 10–90°):
- 2θ 30.81, I = 100
- 2θ 30.50, I = 61
- 2θ 31.25, I = 47
- 2θ 31.81, I = 27
- 2θ 30.30, I = 26
- 2θ 42.07, I = 25
- 2θ 56.90, I = 25
- 2θ 56.12, I = 24
- 2θ 38.49, I = 23
- 2θ 60.05, I = 18

Theoretical X-ray diffraction stick pattern of MgAl4Tl4O12 for a wavelength of 1.5418 Å, from a cell relaxed with GGA-PBE.

Crystal structure
```
21
Lattice="5.9173 0.0000 0.0000 0.0000 7.8416 0.0000 -2.3820 0.0000 5.7223" Properties=species:S:1:pos:R:3 pbc="T T T"
Mg 0.0000 0.0000 0.0000
Al 1.2930 2.2741 1.2661
Al 1.2930 5.5675 1.2661
Al 3.5269 2.1058 3.8835
Al 3.5269 5.7359 3.8835
Tl 0.3745 3.9208 4.0152
Tl 0.6889 0.0000 3.5874
Tl 3.6594 0.0000 1.4362
Tl 4.2676 3.9208 1.2165
O -2.3149 1.9761 5.6717
O -2.3149 5.8655 5.6717
O -0.8208 1.5814 3.1481
O -0.8208 6.2602 3.1481
O 0.4543 3.9208 1.6461
O 1.3169 0.0000 1.4044
O 2.8277 2.5275 0.2846
O 2.8277 5.3141 0.2846
O 1.9524 2.3086 2.9981
O 1.9524 5.5330 2.9981
O 2.8762 0.0000 3.8900
O 4.0216 3.9208 3.6059
```

Main lines, by intensity (2θ = 10–90°):
- 2θ 28.87, I = 100
- 2θ 35.18, I = 80
- 2θ 22.68, I = 80
- 2θ 17.62, I = 69
- 2θ 31.29, I = 65
- 2θ 26.54, I = 50
- 2θ 38.97, I = 40
- 2θ 40.24, I = 32
- 2θ 38.22, I = 28
- 2θ 46.31, I = 28

Theoretical X-ray diffraction stick pattern of Tb2ErHg6 for a wavelength of 1.5418 Å, from a cell relaxed with GGA-PBE.

Crystal structure
```
18
Lattice="7.1905 -5.8484 0.0000 7.1905 5.8484 0.0000 -0.9437 0.0000 5.3479" Properties=species:S:1:pos:R:3 pbc="T T T"
Tb 2.3192 1.4697 0.4438
Tb 1.8474 -1.4697 3.1177
Tb 11.5899 1.4697 2.2302
Tb 11.1181 -1.4697 4.9042
Er 6.4827 1.4588 4.0109
Er 6.9546 -1.4588 1.3370
Hg 5.9453 4.3702 2.5194
Hg 3.4176 1.4615 3.4098
Hg 7.9639 4.3702 0.1545
Hg 5.4223 1.4544 1.0474
Hg 3.8895 -1.4615 0.7359
Hg 8.4869 1.4544 1.6266
Hg 4.9504 -1.4544 3.7214
Hg 9.5478 1.4615 4.6121
Hg 8.0150 -1.4544 4.3005
Hg 5.4734 -4.3702 5.1934
Hg 10.0197 -1.4615 1.9381
Hg 7.4920 -4.3702 2.8285
```

Main lines, by intensity (2θ = 10–90°):
- 2θ 36.19, I = 100
- 2θ 30.57, I = 78
- 2θ 33.90, I = 59
- 2θ 34.02, I = 59
- 2θ 40.49, I = 37
- 2θ 40.59, I = 36
- 2θ 58.06, I = 26
- 2θ 61.57, I = 22
- 2θ 63.60, I = 20
- 2θ 51.66, I = 19